Theoretical X-ray diffraction stick pattern
Compound: CaSiBO5
Radiation: CuKα
Structure: a cell relaxed with GGA-PBE

Cell and atoms:
abc: 4.972 7.720 9.585
angles: 90.00 91.67 90.00
Space group P2_1/c (No. 14)
Asymmetric unit:
1 Ca 0.008 0.117 0.171
2 Si 0.469 0.745 0.587
3 B 0.438 0.094 0.671
4 O 0.237 0.603 0.548
5 O 0.268 0.598 0.802
6 O 0.305 0.169 0.797
7 O 0.327 0.581 0.152
8 O 0.358 0.205 0.552

Peak list (10 most intense, 10 to 90 degrees two-theta, in order of rising 2θ)
2θ 23.02, rel. 58, hkl 0 2 0; 2θ 23.43, rel. 57, hkl 1 1 1; 2θ 26.21, rel. 70, hkl 1 0 2; 2θ 27.99, rel. 100, hkl 1 1 -2; 2θ 28.69, rel. 64, hkl 1 1 2; 2θ 29.30, rel. 53, hkl 1 2 0; 2θ 30.62, rel. 94, hkl 1 2 -1; 2θ 30.94, rel. 52, hkl 1 2 1; 2θ 39.41, rel. 55, hkl 1 3 0; 2θ 41.33, rel. 54, hkl 1 2 3

---

Theoretical X-ray diffraction stick pattern
Compound: CaU2B2O10
Radiation: CuKα
Structure: a cell relaxed with GGA-PBE

Cell and atoms:
abc: 6.692 8.372 9.351
angles: 63.55 84.25 89.72
Space group P1 (No. 1)
Asymmetric unit:
1 Ca 0.000 0.000 0.000
2 Ca 0.166 0.322 0.357
3 U 0.028 0.539 0.919
4 U 0.137 0.780 0.438
5 U 0.582 0.658 0.679
6 U 0.583 0.157 0.679
7 B 0.425 0.964 0.072
8 B 0.507 0.456 0.071
9 B 0.660 0.852 0.286
10 B 0.742 0.353 0.285
11 O 0.021 0.317 0.921
12 O 0.028 0.756 0.928
13 O 0.141 0.006 0.429
14 O 0.142 0.560 0.435
15 O 0.256 0.906 0.178
16 O 0.272 0.643 0.699
17 O 0.307 0.464 0.053
18 O 0.351 0.211 0.576
19 O 0.395 0.050 0.913
20 O 0.512 0.790 0.413
21 O 0.549 0.379 0.234
22 O 0.569 0.884 0.689
23 O 0.596 0.430 0.672
24 O 0.617 0.935 0.123
25 O 0.656 0.517 0.945
26 O 0.772 0.271 0.444
27 O 0.816 0.100 0.781
28 O 0.860 0.841 0.302
29 O 0.892 0.682 0.656
30 O 0.911 0.409 0.178

Peak list (10 most intense, 10 to 90 degrees two-theta, in order of rising 2θ)
2θ 10.63, rel. 54, hkl 0 0 1; 2θ 11.83, rel. 47, hkl 0 1 1; 2θ 17.40, rel. 31, hkl 1 1 1; 2θ 17.96, rel. 41, hkl 1 0 -1; 2θ 21.22, rel. 100, hkl 0 2 1; 2θ 23.95, rel. 46, hkl 1 0 2; 2θ 26.48, rel. 45, hkl 1 0 -2; 2θ 26.80, rel. 35, hkl 2 0 0; 2θ 27.80, rel. 36, hkl 2 0 1; 2θ 32.23, rel. 34, hkl 1 -2 1

---

Theoretical X-ray diffraction stick pattern
Compound: Ca2B5Os3
Radiation: CuKα
Structure: a cell relaxed with GGA-PBE

Cell and atoms:
abc: 10.529 4.072 7.959
angles: 90.00 123.47 90.00
Space group C2 (No. 5)
Asymmetric unit:
1 Ca 0.154 0.000 0.258
2 B 0.000 0.498 0.000
3 B 0.036 0.262 0.622
4 B 0.149 0.984 0.810
5 Os 0.000 0.767 0.500
6 Os 0.136 0.503 0.904

Peak list (10 most intense, 10 to 90 degrees two-theta, in order of rising 2θ)
2θ 16.99, rel. 100, hkl 2 0 -1; 2θ 24.09, rel. 37, hkl 1 1 0; 2θ 30.30, rel. 77, hkl 1 1 1; 2θ 33.87, rel. 86, hkl 2 0 -3; 2θ 35.26, rel. 70, hkl 4 0 -1; 2θ 40.53, rel. 28, hkl 1 1 2; 2θ 42.22, rel. 23, hkl 2 0 2; 2θ 46.67, rel. 27, hkl 0 2 1; 2θ 50.42, rel. 21, hkl 4 0 1; 2θ 50.68, rel. 24, hkl 2 2 -2

---

Theoretical X-ray diffraction stick pattern
Compound: CaBPd3
Radiation: CuKα
Structure: a cell relaxed with GGA-PBE

Cell and atoms:
abc: 4.310 4.310 4.310
angles: 90.00 90.00 90.00
Space group Pm-3m (No. 221)
Asymmetric unit:
1 Ca 0.000 0.000 0.000
2 B 0.500 0.500 0.500
3 Pd 0.000 0.500 0.500

Peak list (10 most intense, 10 to 90 degrees two-theta, in order of rising 2θ)
2θ 20.61, rel. 14, hkl 1 0 0; 2θ 29.31, rel. 7, hkl 1 1 0; 2θ 36.10, rel. 100, hkl 1 1 1; 2θ 41.92, rel. 53, hkl 2 0 0; 2θ 47.15, rel. 6, hkl 2 1 0; 2θ 51.97, rel. 3, hkl 2 1 1; 2θ 60.78, rel. 34, hkl 2 2 0; 2θ 64.91, rel. 3, hkl 3 0 0; 2θ 72.78, rel. 37, hkl 3 1 1; 2θ 76.58, rel. 11, hkl 2 2 2

---

Theoretical X-ray diffraction stick pattern
Compound: Ca7B14Rh20
Radiation: CuKα
Structure: a cell relaxed with GGA-PBE

Cell and atoms:
abc: 5.594 9.758 40.597
angles: 90.00 90.00 90.00
Space group Fmmm (No. 69)
Asymmetric unit:
1 Ca 0.000 0.000 0.000
2 Ca 0.000 0.000 0.073
3 Ca 0.000 0.000 0.147
4 Ca 0.000 0.000 0.222
5 B 0.000 0.161 0.284
6 B 0.000 0.166 0.428
7 B 0.000 0.166 0.500
8 B 0.000 0.167 0.356
9 Rh 0.000 0.000 0.319
10 Rh 0.000 0.000 0.392
11 Rh 0.000 0.000 0.464
12 Rh 0.250 0.250 0.036
13 Rh 0.250 0.250 0.108
14 Rh 0.250 0.250 0.180
15 Rh 0.250 0.250 0.250

Peak list (10 most intense, 10 to 90 degrees two-theta, in order of rising 2θ)
2θ 18.18, rel. 21, hkl 0 2 0; 2θ 18.41, rel. 21, hkl 1 1 1; 2θ 30.84, rel. 44, hkl 0 0 14; 2θ 34.14, rel. 23, hkl 1 1 13; 2θ 36.03, rel. 22, hkl 0 2 14; 2θ 36.84, rel. 50, hkl 0 4 0; 2θ 37.05, rel. 100, hkl 2 2 0; 2θ 48.78, rel. 29, hkl 0 4 14; 2θ 48.95, rel. 57, hkl 2 2 14; 2θ 76.55, rel. 20, hkl 2 2 28

---

Theoretical X-ray diffraction stick pattern
Compound: CaB2Rh3
Radiation: CuKα
Structure: a cell relaxed with GGA-PBE

Cell and atoms:
abc: 5.6188 5.6188 2.9310
angles: 90.00 90.00 120.00
Space group P6/mmm (No. 191)
Asymmetric unit:
1 Ca 0.0000 0.0000 0.0000
2 B 0.3333 0.6667 0.0000
3 Rh 0.0000 0.5000 0.5000

Peak list (10 most intense, 10 to 90 degrees two-theta, in order of rising 2θ)
2θ 18.23, rel. 26, hkl 1 0 0; 2θ 30.50, rel. 30, hkl 0 0 1; 2θ 35.76, rel. 35, hkl 1 0 1; 2θ 36.95, rel. 100, hkl 2 0 0; 2θ 44.68, rel. 24, hkl 1 1 1; 2θ 48.64, rel. 59, hkl 2 0 1; 2θ 59.32, rel. 15, hkl 2 1 1; 2θ 66.58, rel. 21, hkl 2 2 0; 2θ 74.97, rel. 14, hkl 2 2 1; 2θ 75.77, rel. 23, hkl 2 0 2